Entry 1:
# MgSiO3
Theoretical powder diffraction line list, λ = 1.5418 Å (Cu Kα). Input: a crystal structure in the Materials Project, relaxed with PBE.
No peak broadening, texture or thermal motion is included.

Structure:
Lattice parameters (Å, degrees): 7.794 11.408 6.213 90.00 110.67 90.00
Space group P2_1/c (No. 14)
Asymmetric unit:
Mg 0.142 0.184 0.407 [4 per cell]
Mg 0.230 0.542 0.419 [4 per cell]
Si 0.118 0.604 0.832 [4 per cell]
Si 0.499 0.124 0.309 [4 per cell]
O 0.035 0.030 0.277 [4 per cell]
O 0.047 0.193 0.666 [4 per cell]
O 0.226 0.642 0.668 [4 per cell]
O 0.281 0.599 0.115 [4 per cell]
O 0.391 0.093 0.050 [4 per cell]
O 0.406 0.156 0.486 [4 per cell]

The 8 most intense peaks (2θ = 15–90°), low angle first:
(1 2 -1), d = 4.001 Å, 2θ = 22.2°, intensity 71; (1 3 0), d = 3.372 Å, 2θ = 26.4°, intensity 85; (1 2 1), d = 3.231 Å, 2θ = 27.6°, intensity 98; (0 3 1), d = 3.182 Å, 2θ = 28.0°, intensity 100; (0 4 0), d = 2.852 Å, 2θ = 31.4°, intensity 59; (2 0 -2), d = 2.806 Å, 2θ = 31.9°, intensity 86; (2 3 0), d = 2.632 Å, 2θ = 34.1°, intensity 44; (2 1 1), d = 2.619 Å, 2θ = 34.2°, intensity 44

---

Entry 2:
# Mg2SiO4
Theoretical powder diffraction line list, λ = 1.5418 Å (Cu Kα). Input: a crystal structure in the Materials Project, relaxed with PBE.
No peak broadening, texture or thermal motion is included.

Structure:
Lattice parameters (Å, degrees): 6.1487 6.1487 4.7623 90.00 90.00 120.00
Space group P-3m1 (No. 164)
Asymmetric unit:
Mg 0.0000 0.0000 0.0000 [1 per cell]
Mg 0.0000 0.5000 0.0000 [3 per cell]
Si 0.3333 0.6667 0.6003 [2 per cell]
O 0.1916 0.3832 0.7583 [6 per cell]
O 0.3333 0.6667 0.2613 [2 per cell]

The 8 most intense peaks (2θ = 15–90°), low angle first:
(1 0 0), d = 5.325 Å, 2θ = 16.6°, intensity 52; (0 0 1), d = 4.762 Å, 2θ = 18.6°, intensity 19; (1 0 1), d = 3.550 Å, 2θ = 25.1°, intensity 37; (1 1 0), d = 3.074 Å, 2θ = 29.0°, intensity 23; (2 0 1), d = 2.324 Å, 2θ = 38.7°, intensity 100; (2 0 2), d = 1.775 Å, 2θ = 51.5°, intensity 52; (2 2 0), d = 1.537 Å, 2θ = 60.2°, intensity 45; (0 2 3), d = 1.363 Å, 2θ = 68.9°, intensity 21

---

Entry 3:
# MgSiO3
Theoretical powder diffraction line list, λ = 1.5418 Å (Cu Kα). Input: a crystal structure in the Materials Project, relaxed with PBE.
No peak broadening, texture or thermal motion is included.

Structure:
Lattice parameters (Å, degrees): 6.420 15.171 5.130 90.00 92.58 90.00
Space group P2_1/c (No. 14)
Asymmetric unit:
Mg 0.106 0.165 0.359 [4 per cell]
Mg 0.333 0.118 0.912 [4 per cell]
Si 0.103 0.638 0.664 [4 per cell]
Si 0.374 0.593 0.204 [4 per cell]
O 0.049 0.087 0.045 [4 per cell]
O 0.080 0.209 0.734 [4 per cell]
O 0.189 0.617 0.972 [4 per cell]
O 0.316 0.651 0.495 [4 per cell]
O 0.382 0.010 0.745 [4 per cell]
O 0.405 0.145 0.316 [4 per cell]

The 8 most intense peaks (2θ = 15–90°), low angle first:
(1 2 0), d = 4.898 Å, 2θ = 18.1°, intensity 31; (0 4 0), d = 3.793 Å, 2θ = 23.5°, intensity 100; (1 2 -1), d = 3.603 Å, 2θ = 24.7°, intensity 21; (1 3 1), d = 3.097 Å, 2θ = 28.8°, intensity 14; (2 1 -1), d = 2.728 Å, 2θ = 32.8°, intensity 37; (2 1 1), d = 2.625 Å, 2θ = 34.2°, intensity 18; (0 1 2), d = 2.527 Å, 2θ = 35.5°, intensity 18; (2 2 3), d = 1.453 Å, 2θ = 64.1°, intensity 13

---

Entry 4:
# Mg3Si2O9
Theoretical powder diffraction line list, λ = 1.5418 Å (Cu Kα). Input: a crystal structure in the Materials Project, relaxed with PBE.
No peak broadening, texture or thermal motion is included.

Structure:
Lattice parameters (Å, degrees): 5.419 9.364 14.938 90.00 93.07 90.00
Space group Cc (No. 9)
Asymmetric unit:
Mg 0.000 0.022 0.000 [4 per cell]
Mg 0.000 0.378 0.001 [4 per cell]
Mg 0.035 0.300 0.502 [4 per cell]
Si 0.151 0.135 0.310 [4 per cell]
Si 0.151 0.468 0.310 [4 per cell]
O 0.151 0.302 0.275 [4 per cell]
O 0.167 0.134 0.421 [4 per cell]
O 0.167 0.467 0.421 [4 per cell]
O 0.171 0.201 0.949 [4 per cell]
O 0.340 0.047 0.061 [4 per cell]
O 0.340 0.355 0.062 [4 per cell]
O 0.380 0.300 0.561 [4 per cell]
O 0.394 0.049 0.275 [4 per cell]
O 0.394 0.446 0.775 [4 per cell]

The 8 most intense peaks (2θ = 15–90°), low angle first:
(1 1 -1), d = 4.530 Å, 2θ = 19.6°, intensity 35; (1 1 1), d = 4.412 Å, 2θ = 20.1°, intensity 34; (0 0 4), d = 3.729 Å, 2θ = 23.9°, intensity 100; (1 3 -2), d = 2.565 Å, 2θ = 35.0°, intensity 46; (2 0 2), d = 2.501 Å, 2θ = 35.9°, intensity 36; (1 3 -4), d = 2.217 Å, 2θ = 40.7°, intensity 24; (3 3 0), d = 1.561 Å, 2θ = 59.2°, intensity 25; (0 6 1), d = 1.553 Å, 2θ = 59.5°, intensity 27

---

Entry 5:
# MgSiO3
Theoretical powder diffraction line list, λ = 1.5418 Å (Cu Kα). Input: a crystal structure in the Materials Project, relaxed with PBE.
No peak broadening, texture or thermal motion is included.

Structure:
Lattice parameters (Å, degrees): 9.473 8.943 5.238 90.00 102.98 90.00
Space group P2_1/c (No. 14)
Asymmetric unit:
Mg 0.246 0.011 0.462 [4 per cell]
Mg 0.249 0.652 0.468 [4 per cell]
Si 0.052 0.163 0.819 [4 per cell]
Si 0.456 0.160 0.252 [4 per cell]
O 0.104 0.196 0.145 [4 per cell]
O 0.125 0.660 0.752 [4 per cell]
O 0.135 0.018 0.746 [4 per cell]
O 0.367 0.661 0.183 [4 per cell]
O 0.376 0.001 0.200 [4 per cell]
O 0.394 0.219 0.511 [4 per cell]

The 8 most intense peaks (2θ = 15–90°), low angle first:
(1 2 -1), d = 3.322 Å, 2θ = 26.8°, intensity 39; (2 2 0), d = 3.212 Å, 2θ = 27.8°, intensity 37; (1 2 1), d = 3.020 Å, 2θ = 29.6°, intensity 100; (3 1 0), d = 2.910 Å, 2θ = 30.7°, intensity 66; (2 0 -2), d = 2.482 Å, 2θ = 36.2°, intensity 44; (2 3 1), d = 2.147 Å, 2θ = 42.1°, intensity 34; (4 3 1), d = 1.629 Å, 2θ = 56.5°, intensity 29; (6 3 -1), d = 1.392 Å, 2θ = 67.3°, intensity 35

---

Entry 6:
# MgSiO3
Theoretical powder diffraction line list, λ = 1.5418 Å (Cu Kα). Input: a crystal structure in the Materials Project, relaxed with PBE.
No peak broadening, texture or thermal motion is included.

Structure:
Lattice parameters (Å, degrees): 9.519 8.953 5.060 90.00 102.97 90.00
Space group C2/c (No. 15)
Asymmetric unit:
Mg 0.000 0.097 0.250 [4 per cell]
Mg 0.000 0.270 0.750 [4 per cell]
Si 0.203 0.410 0.283 [8 per cell]
O 0.121 0.092 0.642 [8 per cell]
O 0.121 0.266 0.132 [8 per cell]
O 0.148 0.443 0.574 [8 per cell]

The 8 most intense peaks (2θ = 15–90°), low angle first:
(2 2 0), d = 3.221 Å, 2θ = 27.7°, intensity 55; (3 1 0), d = 2.923 Å, 2θ = 30.6°, intensity 100; (2 2 -1), d = 2.912 Å, 2θ = 30.7°, intensity 94; (1 3 -1), d = 2.538 Å, 2θ = 35.4°, intensity 95; (2 2 1), d = 2.523 Å, 2θ = 35.6°, intensity 65; (0 0 2), d = 2.465 Å, 2θ = 36.4°, intensity 56; (1 3 -3), d = 1.467 Å, 2θ = 63.4°, intensity 78; (5 3 1), d = 1.424 Å, 2θ = 65.5°, intensity 65